# 1
# PrAl3Ag
Theoretical XRD peak list, Cu Kα (weighted mean of Kα1 and Kα2). Input: a DFT-relaxed cell (PBE, Alexandria).

Largest 10 diffraction maxima, in order of falling intensity, 2θ = 10–90°:
| Position (°2θ) | I (rel.) |
| --- | --- |
| 31.7 | 100 |
| 33.4 | 71 |
| 29.2 | 55 |
| 41.8 | 45 |
| 53.4 | 45 |
| 45.7 | 38 |
| 15.9 | 30 |
| 63.7 | 28 |
| 22.1 | 28 |
| 71.0 | 15 |

Structural model:
a = 4.3225 Å, b = 4.3225 Å, c = 11.1680 Å
α = 90.00°, β = 90.00°, γ = 90.00°
Space group I4mm (No. 107)
Unique sites:
Pr  0.0000  0.0000  0.0000 [2 per cell]
Al  0.0000  0.0000  0.5938 [2 per cell]
Al  0.0000  0.5000  0.2381 [4 per cell]
Ag  0.0000  0.0000  0.3674 [2 per cell]

=====

# 2
# Pr2AlAg3
Theoretical XRD peak list, Cu Kα (weighted mean of Kα1 and Kα2). Input: a DFT-relaxed cell (PBE, Alexandria).

Largest 10 diffraction maxima, in order of falling intensity, 2θ = 10–90°:
| Position (°2θ) | I (rel.) |
| --- | --- |
| 31.8 | 100 |
| 34.3 | 41 |
| 42.4 | 24 |
| 25.7 | 22 |
| 41.3 | 21 |
| 54.7 | 21 |
| 44.6 | 17 |
| 33.3 | 17 |
| 63.2 | 14 |
| 62.4 | 12 |

Structural model:
a = 4.0665 Å, b = 4.3720 Å, c = 17.0679 Å
α = 90.00°, β = 90.00°, γ = 90.00°
Space group Imm2 (No. 44)
Unique sites:
Pr  0.0000  0.0000  0.0000 [2 per cell]
Pr  0.0000  0.5000  0.2472 [2 per cell]
Al  0.0000  0.0000  0.5848 [2 per cell]
Ag  0.0000  0.0000  0.4297 [2 per cell]
Ag  0.0000  0.5000  0.6617 [2 per cell]
Ag  0.0000  0.5000  0.8236 [2 per cell]